The following is a computed XRD peak list of NpNi2AgO8. It was derived from a cell relaxed with PBE+U, using Cu Kα, 1.54184 Å.

The 6 most intense peaks (2θ from 10° to 90°), in order of falling intensity:
d/Å, I_rel, index
3.449, 100, 1 1 0
2.731, 91, 1 0 2
3.271, 90, 1 -1 0
4.747, 75, 1 0 0
2.591, 68, 1 0 -2
1.725, 46, 2 2 0

Cell and atoms:
a = 4.760 Å, b = 4.765 Å, c = 6.440 Å
α = 86.58°, β = 86.57°, γ = 86.77°
Space group P-1 (No. 2)
Asymmetric unit:
1 Np 0.000 0.000 0.000 (multiplicity 1)
2 Ni 0.488 0.488 0.254 (multiplicity 2)
3 Ag 0.000 0.000 0.500 (multiplicity 1)
4 O 0.192 0.191 0.244 (multiplicity 2)
5 O 0.215 0.213 0.795 (multiplicity 2)
6 O 0.308 0.691 0.000 (multiplicity 2)
7 O 0.312 0.687 0.500 (multiplicity 2)